Entry 1:
# CsMgH2
Theoretical X-ray powder pattern, CuKα. Input: a GGA-PBE-relaxed structure.

The 8 most intense peaks (2θ from 10° to 90°), in order of falling intensity:
2θ 26.4, I = 100; 2θ 14.8, I = 81; 2θ 34.8, I = 71; 2θ 26.9, I = 67; 2θ 29.8, I = 36; 2θ 21.7, I = 36; 2θ 41.1, I = 21; 2θ 52.5, I = 21

Atomic structure:
Cell lengths 3.4548, 4.0978, 6.2230 Å; angles 90.00, 105.82, 90.00 degrees
Fractional positions:
Cs (0.0000, 0.0000, 0.0000)
Mg (0.7329, 0.5000, 0.4844)
H (0.3359, 0.5000, 0.6878)
H (0.7107, 0.0000, 0.4333)



Entry 2:
# Cs3Er2I9
Theoretical X-ray powder pattern, CuKα. Input: a GGA-PBE-relaxed structure.

The 8 most intense peaks (2θ from 10° to 90°), in order of falling intensity:
2θ 26.9, I = 100; 2θ 25.3, I = 88; 2θ 29.0, I = 88; 2θ 42.1, I = 77; 2θ 12.6, I = 73; 2θ 31.6, I = 55; 2θ 24.4, I = 42; 2θ 49.2, I = 36

Atomic structure:
Cell lengths 8.5924, 8.5924, 21.8963 Å; angles 90.00, 90.00, 120.00 degrees
Fractional positions:
Cs (0.0000, 0.0000, 0.2500)
Cs (0.0000, 0.0000, 0.7500)
Cs (0.3333, 0.6667, 0.0626)
Cs (0.3333, 0.6667, 0.4374)
Cs (0.6667, 0.3333, 0.5626)
Cs (0.6667, 0.3333, 0.9374)
Er (0.3333, 0.6667, 0.6573)
Er (0.3333, 0.6667, 0.8427)
Er (0.6667, 0.3333, 0.1573)
Er (0.6667, 0.3333, 0.3427)
I (0.0142, 0.5071, 0.7500)
I (0.1660, 0.3319, 0.5873)
I (0.1660, 0.3319, 0.9127)
I (0.1660, 0.8340, 0.5873)
I (0.1660, 0.8340, 0.9127)
I (0.3319, 0.1660, 0.0873)
I (0.3319, 0.1660, 0.4127)
I (0.4929, 0.5071, 0.7500)
I (0.4929, 0.9858, 0.7500)
I (0.5071, 0.0142, 0.2500)
I (0.5071, 0.4929, 0.2500)
I (0.6681, 0.8340, 0.5873)
I (0.6681, 0.8340, 0.9127)
I (0.8340, 0.1660, 0.0873)
I (0.8340, 0.1660, 0.4127)
I (0.8340, 0.6681, 0.0873)
I (0.8340, 0.6681, 0.4127)
I (0.9858, 0.4929, 0.2500)



Entry 3:
# PaGa2IrO8
Theoretical X-ray powder pattern, CuKα. Input: a GGA-PBE-relaxed structure.

The 8 most intense peaks (2θ from 10° to 90°), in order of falling intensity:
2θ 34.2, I = 100; 2θ 26.3, I = 59; 2θ 26.8, I = 58; 2θ 18.7, I = 54; 2θ 52.2, I = 40; 2θ 51.6, I = 39; 2θ 37.9, I = 29; 2θ 66.0, I = 22

Atomic structure:
Cell lengths 4.7521, 4.7521, 6.2987 Å; angles 90.00, 90.00, 90.98 degrees
Fractional positions:
Pa (0.0000, 0.0000, 0.0000)
Ga (0.5000, 0.5000, 0.2579)
Ga (0.5000, 0.5000, 0.7421)
Ir (0.0000, 0.0000, 0.5000)
O (0.2078, 0.7922, 0.2704)
O (0.2078, 0.7922, 0.7296)
O (0.2936, 0.2936, 0.5000)
O (0.3168, 0.3168, 0.0000)
O (0.6832, 0.6832, 0.0000)
O (0.7064, 0.7064, 0.5000)
O (0.7922, 0.2078, 0.2704)
O (0.7922, 0.2078, 0.7296)



Please write out number 3 again, unchanged.
# PaGa2IrO8
Theoretical X-ray powder pattern, CuKα. Input: a GGA-PBE-relaxed structure.

The 8 most intense peaks (2θ from 10° to 90°), in order of falling intensity:
2θ 34.2, I = 100; 2θ 26.3, I = 59; 2θ 26.8, I = 58; 2θ 18.7, I = 54; 2θ 52.2, I = 40; 2θ 51.6, I = 39; 2θ 37.9, I = 29; 2θ 66.0, I = 22

Atomic structure:
Cell lengths 4.7521, 4.7521, 6.2987 Å; angles 90.00, 90.00, 90.98 degrees
Fractional positions:
Pa (0.0000, 0.0000, 0.0000)
Ga (0.5000, 0.5000, 0.2579)
Ga (0.5000, 0.5000, 0.7421)
Ir (0.0000, 0.0000, 0.5000)
O (0.2078, 0.7922, 0.2704)
O (0.2078, 0.7922, 0.7296)
O (0.2936, 0.2936, 0.5000)
O (0.3168, 0.3168, 0.0000)
O (0.6832, 0.6832, 0.0000)
O (0.7064, 0.7064, 0.5000)
O (0.7922, 0.2078, 0.2704)
O (0.7922, 0.2078, 0.7296)



Number 1 is which compound?
CsMgH2